(1)
For LiZnBO3, a crystal structure in the Materials Project, relaxed with PBE gives the theoretical powder XRD pattern in this record (Cu Ka).
Neutral-atom scattering factors, no anomalous dispersion.

Cell and atoms:
```
data_LiZnBO3
_space_group_name_H-M_alt 'P 1'
_space_group_IT_number 1
_space_group_name_Hall 'P 1'
_cell_length_a 5.1535
_cell_length_b 5.1535
_cell_length_c 6.1812
_cell_angle_alpha 114.69
_cell_angle_beta 114.69
_cell_angle_gamma 59.56
loop_
_atom_site_label
_atom_site_type_symbol
_atom_site_fract_x
_atom_site_fract_y
_atom_site_fract_z
Li1 Li 0.0818 0.9182 0.5000
Li2 Li 0.9182 0.0818 0.0000
Zn1 Zn 0.2569 0.4243 0.0184
Zn2 Zn 0.4243 0.2569 0.5184
B1 B 0.5614 0.7385 0.9374
B2 B 0.7385 0.5614 0.4374
O1 O 0.0004 0.2835 0.4196
O2 O 0.2835 0.0004 0.9196
O3 O 0.4521 0.5476 0.3975
O4 O 0.5476 0.4521 0.8975
O5 O 0.7457 0.8380 0.4744
O6 O 0.8380 0.7457 0.9744
```

Largest 8 diffraction maxima, sorted by position, 2θ = 15–90°:
| two_theta | intensity |
| --- | --- |
| 20.72 | 100 |
| 22.68 | 42 |
| 29.74 | 68 |
| 33.07 | 67 |
| 34.82 | 37 |
| 38.70 | 28 |
| 41.01 | 23 |
| 62.76 | 26 |

(2)
For LiZnBO3, a crystal structure in the Materials Project, relaxed with PBE gives the theoretical powder XRD pattern in this record (Cu Ka).
Neutral-atom scattering factors, no anomalous dispersion.

Cell and atoms:
```
data_LiZnBO3
_space_group_name_H-M_alt 'P 1'
_space_group_IT_number 1
_space_group_name_Hall 'P 1'
_cell_length_a 5.0820
_cell_length_b 8.8593
_cell_length_c 11.2220
_cell_angle_alpha 90.01
_cell_angle_beta 90.41
_cell_angle_gamma 90.10
loop_
_atom_site_label
_atom_site_type_symbol
_atom_site_fract_x
_atom_site_fract_y
_atom_site_fract_z
Li1 Li 0.0000 0.0000 0.0000
Li2 Li 0.0122 0.9953 0.5451
Li3 Li 0.3248 0.9909 0.3198
Li4 Li 0.3393 0.0119 0.8138
Li5 Li 0.4883 0.5070 0.9806
Li6 Li 0.7677 0.4890 0.3731
Li7 Li 0.8161 0.5038 0.1817
Li8 Li 0.8291 0.5066 0.8003
Zn1 Zn 0.0082 0.3232 0.0001
Zn2 Zn 0.0304 0.6522 0.5558
Zn3 Zn 0.3154 0.6639 0.2977
Zn4 Zn 0.3258 0.3424 0.7494
Zn5 Zn 0.5037 0.8351 0.0422
Zn6 Zn 0.5189 0.1666 0.5380
Zn7 Zn 0.8143 0.8367 0.7595
Zn8 Zn 0.8244 0.1599 0.2685
B1 B 0.0039 0.6679 0.0147
B2 B 0.0094 0.3241 0.5326
B3 B 0.3219 0.3330 0.2729
B4 B 0.3277 0.6701 0.7812
B5 B 0.5076 0.1663 0.0188
B6 B 0.5085 0.8286 0.5216
B7 B 0.8160 0.8238 0.2705
B8 B 0.8313 0.1682 0.7774
O1 O 0.0478 0.3423 0.2570
O2 O 0.0611 0.6620 0.7445
O3 O 0.2691 0.3233 0.5726
O4 O 0.2692 0.6628 0.0364
O5 O 0.3689 0.0340 0.9963
O6 O 0.3763 0.9650 0.5106
O7 O 0.3775 0.6975 0.4856
O8 O 0.3869 0.3045 0.0044
O9 O 0.4447 0.1956 0.2966
O10 O 0.4458 0.8082 0.7947
O11 O 0.4628 0.5368 0.8012
O12 O 0.4746 0.4645 0.2682
O13 O 0.5457 0.8328 0.2403
O14 O 0.5672 0.1667 0.7463
O15 O 0.7695 0.8255 0.5643
O16 O 0.7746 0.1592 0.0516
O17 O 0.8609 0.5307 0.0115
O18 O 0.8711 0.8022 0.9955
O19 O 0.8747 0.4579 0.5259
O20 O 0.8870 0.1886 0.5016
O21 O 0.9278 0.6802 0.2851
O22 O 0.9574 0.3039 0.8097
O23 O 0.9611 0.9541 0.2845
O24 O 0.9744 0.0356 0.7784
```

Largest 8 diffraction maxima, sorted by position, 2θ = 15–90°:
| two_theta | intensity |
| --- | --- |
| 20.07 | 55 |
| 21.57 | 43 |
| 21.71 | 81 |
| 25.62 | 48 |
| 25.78 | 28 |
| 31.90 | 100 |
| 35.14 | 55 |
| 41.71 | 34 |

(3)
For Li2BPt3, a crystal structure in the Materials Project, relaxed with PBE gives the theoretical powder XRD pattern in this record (Cu Ka).
Neutral-atom scattering factors, no anomalous dispersion.

Cell and atoms:
```
data_Li2BPt3
_space_group_name_H-M_alt 'P 1'
_space_group_IT_number 1
_space_group_name_Hall 'P 1'
_cell_length_a 6.8446
_cell_length_b 6.8446
_cell_length_c 6.8446
_cell_angle_alpha 90.00
_cell_angle_beta 90.00
_cell_angle_gamma 90.00
loop_
_atom_site_label
_atom_site_type_symbol
_atom_site_fract_x
_atom_site_fract_y
_atom_site_fract_z
Li1 Li 0.0538 0.4462 0.5538
Li2 Li 0.1962 0.6962 0.8038
Li3 Li 0.3038 0.3038 0.3038
Li4 Li 0.4462 0.5538 0.0538
Li5 Li 0.5538 0.0538 0.4462
Li6 Li 0.6962 0.8038 0.1962
Li7 Li 0.8038 0.1962 0.6962
Li8 Li 0.9462 0.9462 0.9462
B1 B 0.1250 0.8750 0.3750
B2 B 0.3750 0.1250 0.8750
B3 B 0.6250 0.6250 0.6250
B4 B 0.8750 0.3750 0.1250
Pt1 Pt 0.0606 0.6250 0.1894
Pt2 Pt 0.1250 0.3106 0.9394
Pt3 Pt 0.1894 0.0606 0.6250
Pt4 Pt 0.3106 0.9394 0.1250
Pt5 Pt 0.3750 0.6894 0.4394
Pt6 Pt 0.4394 0.3750 0.6894
Pt7 Pt 0.5606 0.8750 0.8106
Pt8 Pt 0.6250 0.1894 0.0606
Pt9 Pt 0.6894 0.4394 0.3750
Pt10 Pt 0.8106 0.5606 0.8750
Pt11 Pt 0.8750 0.8106 0.5606
Pt12 Pt 0.9394 0.1250 0.3106
```

Largest 8 diffraction maxima, sorted by position, 2θ = 15–90°:
| two_theta | intensity |
| --- | --- |
| 22.50 | 69 |
| 29.17 | 44 |
| 32.03 | 44 |
| 39.50 | 100 |
| 41.73 | 66 |
| 43.87 | 40 |
| 68.55 | 24 |
| 70.10 | 23 |

(4)
For LiBPt3, a crystal structure in the Materials Project, relaxed with PBE gives the theoretical powder XRD pattern in this record (Cu Ka).
Neutral-atom scattering factors, no anomalous dispersion.

Cell and atoms:
```
data_LiBPt3
_space_group_name_H-M_alt 'P 1'
_space_group_IT_number 1
_space_group_name_Hall 'P 1'
_cell_length_a 9.3362
_cell_length_b 9.3362
_cell_length_c 2.8059
_cell_angle_alpha 90.00
_cell_angle_beta 90.00
_cell_angle_gamma 120.00
loop_
_atom_site_label
_atom_site_type_symbol
_atom_site_fract_x
_atom_site_fract_y
_atom_site_fract_z
Li1 Li 0.0000 0.3623 0.0000
Li2 Li 0.3623 0.0000 0.0000
Li3 Li 0.6377 0.6377 0.0000
B1 B 0.0000 0.0000 0.5000
B2 B 0.3333 0.6667 0.0000
B3 B 0.6667 0.3333 0.0000
Pt1 Pt 0.0000 0.8227 0.0000
Pt2 Pt 0.1653 0.6817 0.5000
Pt3 Pt 0.1773 0.1773 0.0000
Pt4 Pt 0.3183 0.4837 0.5000
Pt5 Pt 0.4837 0.3183 0.5000
Pt6 Pt 0.5163 0.8347 0.5000
Pt7 Pt 0.6817 0.1653 0.5000
Pt8 Pt 0.8227 0.0000 0.0000
Pt9 Pt 0.8347 0.5163 0.5000
```

Largest 8 diffraction maxima, sorted by position, 2θ = 15–90°:
| two_theta | intensity |
| --- | --- |
| 19.01 | 70 |
| 33.81 | 48 |
| 38.57 | 100 |
| 43.80 | 78 |
| 52.22 | 32 |
| 69.79 | 16 |
| 73.42 | 18 |
| 79.79 | 42 |

(5)
For SrLiBS3, a crystal structure in the Materials Project, relaxed with PBE gives the theoretical powder XRD pattern in this record (Cu Ka).
Neutral-atom scattering factors, no anomalous dispersion.

Cell and atoms:
```
data_SrLiBS3
_space_group_name_H-M_alt 'P 1'
_space_group_IT_number 1
_space_group_name_Hall 'P 1'
_cell_length_a 7.5893
_cell_length_b 9.1721
_cell_length_c 7.1139
_cell_angle_alpha 90.00
_cell_angle_beta 90.00
_cell_angle_gamma 90.00
loop_
_atom_site_label
_atom_site_type_symbol
_atom_site_fract_x
_atom_site_fract_y
_atom_site_fract_z
Sr1 Sr 0.1429 0.2500 0.0282
Sr2 Sr 0.3571 0.7500 0.5282
Sr3 Sr 0.6429 0.2500 0.4718
Sr4 Sr 0.8571 0.7500 0.9718
Li1 Li 0.0000 0.0000 0.5000
Li2 Li 0.0000 0.5000 0.5000
Li3 Li 0.5000 0.0000 0.0000
Li4 Li 0.5000 0.5000 0.0000
B1 B 0.2140 0.2500 0.4616
B2 B 0.2860 0.7500 0.9616
B3 B 0.7140 0.2500 0.0384
B4 B 0.7860 0.7500 0.5384
S1 S 0.0240 0.2500 0.6215
S2 S 0.1963 0.5799 0.8687
S3 S 0.1963 0.9201 0.8687
S4 S 0.3037 0.0799 0.3687
S5 S 0.3037 0.4201 0.3687
S6 S 0.4760 0.7500 0.1215
S7 S 0.5240 0.2500 0.8785
S8 S 0.6963 0.5799 0.6313
S9 S 0.6963 0.9201 0.6313
S10 S 0.8037 0.0799 0.1313
S11 S 0.8037 0.4201 0.1313
S12 S 0.9760 0.7500 0.3785
```

Largest 8 diffraction maxima, sorted by position, 2θ = 15–90°:
| two_theta | intensity |
| --- | --- |
| 19.35 | 58 |
| 25.03 | 33 |
| 25.40 | 47 |
| 29.39 | 40 |
| 31.84 | 46 |
| 34.03 | 92 |
| 35.97 | 44 |
| 37.76 | 100 |

(6)
For Li2B2Se5, a crystal structure in the Materials Project, relaxed with PBE gives the theoretical powder XRD pattern in this record (Cu Ka).
Neutral-atom scattering factors, no anomalous dispersion.

Cell and atoms:
```
data_Li2B2Se5
_space_group_name_H-M_alt 'P 1'
_space_group_IT_number 1
_space_group_name_Hall 'P 1'
_cell_length_a 6.0165
_cell_length_b 6.0165
_cell_length_c 12.5783
_cell_angle_alpha 107.94
_cell_angle_beta 107.94
_cell_angle_gamma 52.63
loop_
_atom_site_label
_atom_site_type_symbol
_atom_site_fract_x
_atom_site_fract_y
_atom_site_fract_z
Li1 Li 0.1057 0.1444 0.4324
Li2 Li 0.1444 0.1057 0.9324
Li3 Li 0.8556 0.8943 0.0676
Li4 Li 0.8943 0.8556 0.5676
B1 B 0.3075 0.4114 0.2926
B2 B 0.4114 0.3075 0.7926
B3 B 0.5886 0.6925 0.2074
B4 B 0.6925 0.5886 0.7074
Se1 Se 0.0745 0.4322 0.6605
Se2 Se 0.2456 0.7544 0.2500
Se3 Se 0.2697 0.5988 0.9386
Se4 Se 0.4012 0.7303 0.5614
Se5 Se 0.4322 0.0745 0.1605
Se6 Se 0.5678 0.9255 0.8395
Se7 Se 0.5988 0.2697 0.4386
Se8 Se 0.7303 0.4012 0.0614
Se9 Se 0.7544 0.2456 0.7500
Se10 Se 0.9255 0.5678 0.3395
```

Largest 8 diffraction maxima, sorted by position, 2θ = 15–90°:
| two_theta | intensity |
| --- | --- |
| 18.77 | 48 |
| 29.31 | 36 |
| 30.01 | 60 |
| 30.59 | 23 |
| 31.84 | 100 |
| 32.99 | 28 |
| 34.45 | 24 |
| 55.60 | 19 |